(1)
Diffraction record for Mg6ZrMn. The X-ray diffraction stick pattern is theoretical, not measured: it uses DFT lattice parameters and positions (GGA-PBE) and a wavelength of 1.5418 Å.
Intensities are scaled so that the largest is 100.

Unit cell a=4.929 b=6.232 c=11.186 alpha=90.00 beta=90.00 gamma=90.00
Space group Amm2 (No. 38)
Inequivalent atoms, fractional coordinates:
Mg 0.000 0.000 0.000 [2 per cell]
Mg 0.000 0.242 0.757 [4 per cell]
Mg 0.500 0.000 0.163 [2 per cell]
Mg 0.500 0.244 0.414 [4 per cell]
Zr 0.000 0.000 0.521 [2 per cell]
Mn 0.500 0.000 0.647 [2 per cell]

Principal peaks in the range 5° ≤ 2θ ≤ 70°, in order of falling intensity:
hkl 1 2 2, 37.75 deg, I 100.0; hkl 1 0 4, 36.96 deg, I 78.7; hkl 0 1 1, 16.28 deg, I 68.5; hkl 0 2 2, 32.90 deg, I 46.7; hkl 2 0 0, 36.45 deg, I 45.1; hkl 2 2 2, 49.92 deg, I 27.5; hkl 0 0 2, 15.84 deg, I 25.1; hkl 1 1 3, 33.39 deg, I 19.8


(2)
Diffraction record for Ce2Te4Cl2O11. The X-ray diffraction stick pattern is theoretical, not measured: it uses DFT lattice parameters and positions (GGA-PBE) and a wavelength of 1.5418 Å.
Intensities are scaled so that the largest is 100.

Unit cell a=8.255 b=9.900 c=10.699 alpha=109.67 beta=109.39 gamma=97.58
Space group P-1 (No. 2)
Inequivalent atoms, fractional coordinates:
Ce 0.118 0.390 0.382 [2 per cell]
Ce 0.379 0.117 0.114 [2 per cell]
Te 0.037 0.742 0.048 [2 per cell]
Te 0.241 0.983 0.692 [2 per cell]
Te 0.306 0.469 0.764 [2 per cell]
Te 0.497 0.237 0.505 [2 per cell]
Cl 0.131 0.898 0.391 [2 per cell]
Cl 0.394 0.622 0.122 [2 per cell]
O 0.016 0.355 0.153 [2 per cell]
O 0.067 0.819 0.658 [2 per cell]
O 0.101 0.490 0.621 [2 per cell]
O 0.164 0.181 0.974 [2 per cell]
O 0.203 0.916 0.087 [2 per cell]
O 0.325 0.591 0.439 [2 per cell]
O 0.326 0.241 0.333 [2 per cell]
O 0.335 0.358 0.588 [2 per cell]
O 0.386 0.008 0.888 [2 per cell]
O 0.425 0.890 0.657 [2 per cell]
O 0.444 0.660 0.818 [2 per cell]

Principal peaks in the range 5° ≤ 2θ ≤ 70°, in order of falling intensity:
hkl 1 2 -1, 22.55 deg, I 100.0; hkl 2 -2 0, 26.52 deg, I 97.1; hkl 2 4 -2, 46.04 deg, I 33.9; hkl 1 -2 3, 32.67 deg, I 23.2; hkl 1 -1 2, 24.02 deg, I 22.7; hkl -1 1 2, 22.77 deg, I 22.1; hkl 3 0 -1, 33.19 deg, I 21.0; hkl 0 1 -1, 10.60 deg, I 20.0


(3)
Diffraction record for BaSr3Zr4O12. The X-ray diffraction stick pattern is theoretical, not measured: it uses DFT lattice parameters and positions (GGA-PBE) and a wavelength of 1.5418 Å.
Intensities are scaled so that the largest is 100.

Unit cell a=5.911 b=8.353 c=5.937 alpha=90.00 beta=90.01 gamma=90.00
Space group Pm (No. 6)
Inequivalent atoms, fractional coordinates:
Ba 0.000 0.000 0.000 [1 per cell]
Sr 0.010 0.500 0.957 [1 per cell]
Sr 0.502 0.500 0.466 [1 per cell]
Sr 0.512 0.000 0.514 [1 per cell]
Zr 0.004 0.252 0.485 [2 per cell]
Zr 0.505 0.253 0.989 [2 per cell]
O 0.078 0.000 0.485 [1 per cell]
O 0.224 0.290 0.208 [2 per cell]
O 0.277 0.291 0.713 [2 per cell]
O 0.451 0.000 0.968 [1 per cell]
O 0.582 0.500 0.011 [1 per cell]
O 0.720 0.213 0.271 [2 per cell]
O 0.774 0.223 0.759 [2 per cell]
O 0.930 0.500 0.499 [1 per cell]

Principal peaks in the range 5° ≤ 2θ ≤ 70°, in order of falling intensity:
hkl 1 2 1, 30.22 deg, I 100.0; hkl 3 2 -1, 53.71 deg, I 35.7; hkl 2 0 -2, 43.19 deg, I 24.8; hkl 0 0 2, 30.10 deg, I 19.9; hkl 2 4 -2, 62.85 deg, I 17.3; hkl 1 2 -3, 53.53 deg, I 15.4; hkl 0 4 0, 43.33 deg, I 12.4; hkl 0 0 4, 62.58 deg, I 3.5


(4)
Diffraction record for UO. The X-ray diffraction stick pattern is theoretical, not measured: it uses DFT lattice parameters and positions (GGA-PBE) and a wavelength of 1.5418 Å.
Intensities are scaled so that the largest is 100.

Unit cell a=4.863 b=4.863 c=4.863 alpha=90.00 beta=90.00 gamma=90.00
Space group Fm-3m (No. 225)
Inequivalent atoms, fractional coordinates:
U 0.000 0.000 0.000 [4 per cell]
O 0.000 0.000 0.500 [4 per cell]

Principal peaks in the range 5° ≤ 2θ ≤ 70°, in order of falling intensity:
hkl 1 1 1, 31.87 deg, I 100.0; hkl 2 0 0, 36.97 deg, I 68.5; hkl 2 2 0, 53.28 deg, I 48.2; hkl 3 1 1, 63.44 deg, I 46.3; hkl 2 2 2, 66.61 deg, I 16.7


Please write out number 2 again, unchanged.
Diffraction record for Ce2Te4Cl2O11. The X-ray diffraction stick pattern is theoretical, not measured: it uses DFT lattice parameters and positions (GGA-PBE) and a wavelength of 1.5418 Å.
Intensities are scaled so that the largest is 100.

Unit cell a=8.255 b=9.900 c=10.699 alpha=109.67 beta=109.39 gamma=97.58
Space group P-1 (No. 2)
Inequivalent atoms, fractional coordinates:
Ce 0.118 0.390 0.382 [2 per cell]
Ce 0.379 0.117 0.114 [2 per cell]
Te 0.037 0.742 0.048 [2 per cell]
Te 0.241 0.983 0.692 [2 per cell]
Te 0.306 0.469 0.764 [2 per cell]
Te 0.497 0.237 0.505 [2 per cell]
Cl 0.131 0.898 0.391 [2 per cell]
Cl 0.394 0.622 0.122 [2 per cell]
O 0.016 0.355 0.153 [2 per cell]
O 0.067 0.819 0.658 [2 per cell]
O 0.101 0.490 0.621 [2 per cell]
O 0.164 0.181 0.974 [2 per cell]
O 0.203 0.916 0.087 [2 per cell]
O 0.325 0.591 0.439 [2 per cell]
O 0.326 0.241 0.333 [2 per cell]
O 0.335 0.358 0.588 [2 per cell]
O 0.386 0.008 0.888 [2 per cell]
O 0.425 0.890 0.657 [2 per cell]
O 0.444 0.660 0.818 [2 per cell]

Principal peaks in the range 5° ≤ 2θ ≤ 70°, in order of falling intensity:
hkl 1 2 -1, 22.55 deg, I 100.0; hkl 2 -2 0, 26.52 deg, I 97.1; hkl 2 4 -2, 46.04 deg, I 33.9; hkl 1 -2 3, 32.67 deg, I 23.2; hkl 1 -1 2, 24.02 deg, I 22.7; hkl -1 1 2, 22.77 deg, I 22.1; hkl 3 0 -1, 33.19 deg, I 21.0; hkl 0 1 -1, 10.60 deg, I 20.0


Please write out number 4 again, unchanged.
Diffraction record for UO. The X-ray diffraction stick pattern is theoretical, not measured: it uses DFT lattice parameters and positions (GGA-PBE) and a wavelength of 1.5418 Å.
Intensities are scaled so that the largest is 100.

Unit cell a=4.863 b=4.863 c=4.863 alpha=90.00 beta=90.00 gamma=90.00
Space group Fm-3m (No. 225)
Inequivalent atoms, fractional coordinates:
U 0.000 0.000 0.000 [4 per cell]
O 0.000 0.000 0.500 [4 per cell]

Principal peaks in the range 5° ≤ 2θ ≤ 70°, in order of falling intensity:
hkl 1 1 1, 31.87 deg, I 100.0; hkl 2 0 0, 36.97 deg, I 68.5; hkl 2 2 0, 53.28 deg, I 48.2; hkl 3 1 1, 63.44 deg, I 46.3; hkl 2 2 2, 66.61 deg, I 16.7